Computed PXRD pattern
Compound: Li3PO4
Radiation: Cu Kα
Structure: a GGA-PBE-relaxed structure
Neutral-atom scattering factors, no anomalous dispersion.

Structure:
Cell lengths 5.0395, 6.1374, 10.6186 Å; angles 90.00, 90.00, 90.00 degrees
Fractional coordinates of all 32 atoms:
1 Li 0.1946 0.0133 0.1639
2 Li 0.1946 0.4867 0.1639
3 Li 0.1973 0.2500 0.9245
4 Li 0.3027 0.7500 0.4245
5 Li 0.3054 0.5133 0.6639
6 Li 0.3054 0.9867 0.6639
7 Li 0.6946 0.0133 0.3361
8 Li 0.6946 0.4867 0.3361
9 Li 0.6973 0.2500 0.5755
10 Li 0.8027 0.7500 0.0755
11 Li 0.8054 0.5133 0.8361
12 Li 0.8054 0.9867 0.8361
13 P 0.1909 0.2500 0.4162
14 P 0.3091 0.7500 0.9162
15 P 0.6909 0.2500 0.0838
16 P 0.8091 0.7500 0.5838
17 O 0.1175 0.7500 0.5816
18 O 0.2023 0.7500 0.0541
19 O 0.2082 0.5426 0.8454
20 O 0.2082 0.9574 0.8454
21 O 0.2918 0.0426 0.3454
22 O 0.2918 0.4574 0.3454
23 O 0.2977 0.2500 0.5541
24 O 0.3825 0.2500 0.0816
25 O 0.6175 0.7500 0.9184
26 O 0.7023 0.7500 0.4459
27 O 0.7082 0.5426 0.6546
28 O 0.7082 0.9574 0.6546
29 O 0.7918 0.0426 0.1546
30 O 0.7918 0.4574 0.1546
31 O 0.7977 0.2500 0.9459
32 O 0.8825 0.2500 0.4184

The 8 most intense peaks (2θ from 5° to 70°), low angle first:
d (Å), I_rel
5.312, 79
3.656, 100
3.140, 23
3.067, 30
2.656, 61
2.520, 34
1.828, 15
1.534, 27